Diffraction record for Cd8SnPt6. The X-ray powder pattern is theoretical, not measured: it uses a DFT-relaxed cell (PBE, Alexandria) and Cu Kα.
Kinematic intensities with the Lorentz-polarization factor, no thermal factor.

Crystal structure
a b c (Å): 7.9560 7.9560 16.8326
angles (deg): 90.00 90.00 120.00
Space group R-3 (No. 148, hexagonal axes)
Asymmetric unit:
1 Cd 0.0000 0.0000 0.1669 (multiplicity 6)
2 Cd 0.0038 0.6555 0.3794 (multiplicity 18)
3 Sn 0.0000 0.0000 0.5000 (multiplicity 3)
4 Pt 0.0008 0.6761 0.5484 (multiplicity 18)

Main lines, in order of falling intensity (10° ≤ 2θ ≤ 90°):
| h k l | 2theta | I/Imax |
| --- | --- | --- |
| 3 0 0 | 39.26 | 100 |
| 3 3 0 | 71.13 | 25 |
| 4 -2 6 | 56.73 | 18 |
| 1 1 0 | 22.35 | 13 |
| 0 0 3 | 15.79 | 11 |
| 1 1 3 | 27.49 | 8 |
| 2 -1 12 | 71.29 | 6 |
| 3 0 3 | 42.53 | 6 |
| 6 0 0 | 84.34 | 5 |
| 3 0 12 | 80.18 | 4 |